No. 1
Starting from DFT lattice parameters and positions (GGA-PBE), the powder diffractogram of Nd2Hg3Pb3 was computed for λ = 1.5418 Å (Cu Kα).
Peak positions follow from Bragg's law for the DFT cell and can differ from measured ones.

Atomic structure:
```
data_Nd2Hg3Pb3
_space_group_name_H-M_alt 'P m m m'
_space_group_IT_number 47
_cell_length_a 4.7836
_cell_length_b 4.8746
_cell_length_c 9.3482
_cell_angle_alpha 90.00
_cell_angle_beta 90.00
_cell_angle_gamma 90.00
loop_
_space_group_symop_operation_xyz
'x,y,z'
'-x,-y,-z'
'-x,-y,z'
'x,y,-z'
'x,-y,-z'
'-x,y,z'
'-x,y,-z'
'x,-y,z'
loop_
_atom_site_label
_atom_site_fract_x
_atom_site_fract_y
_atom_site_fract_z
Nd1 0.0000 0.0000 0.2487
Hg1 0.0000 0.5000 0.0000
Hg2 0.5000 0.5000 0.2430
Pb1 0.0000 0.5000 0.5000
Pb2 0.5000 0.0000 0.0000
Pb3 0.5000 0.0000 0.5000
```

The 10 most intense peaks (2θ from 10° to 90°), by angle:
32.5 deg, 2.757 Å, rel. 100; 36.9 deg, 2.437 Å, rel. 18; 37.6 deg, 2.392 Å, rel. 17; 38.5 deg, 2.337 Å, rel. 16; 53.7 deg, 1.707 Å, rel. 12; 54.4 deg, 1.687 Å, rel. 12; 63.7 deg, 1.461 Å, rel. 15; 64.7 deg, 1.442 Å, rel. 14; 65.9 deg, 1.417 Å, rel. 13; 68.0 deg, 1.379 Å, rel. 12

---

No. 2
Starting from DFT lattice parameters and positions (GGA-PBE), the powder diffractogram of Cu5Ag4 was computed for λ = 1.5418 Å (Cu Kα).
Peak positions follow from Bragg's law for the DFT cell and can differ from measured ones.

Atomic structure:
```
data_Cu5Ag4
_space_group_name_H-M_alt 'C 1 2/m 1'
_space_group_IT_number 12
_cell_length_a 13.9112
_cell_length_b 2.8336
_cell_length_c 7.7817
_cell_angle_alpha 90.00
_cell_angle_beta 121.27
_cell_angle_gamma 90.00
loop_
_space_group_symop_operation_xyz
'x,y,z'
'-x,-y,-z'
'-x,y,-z'
'x,-y,z'
'x+1/2,y+1/2,z'
'-x+1/2,-y+1/2,-z'
'-x+1/2,y+1/2,-z'
'x+1/2,-y+1/2,z'
loop_
_atom_site_label
_atom_site_fract_x
_atom_site_fract_y
_atom_site_fract_z
Cu1 0.0000 0.0000 0.0000
Cu2 0.0575 0.5000 0.3127
Cu3 0.2170 0.0000 0.3480
Ag1 0.1122 0.0000 0.6499
Ag2 0.1626 0.5000 0.0106
```

The 10 most intense peaks (2θ from 10° to 90°), by angle:
40.2 deg, 2.245 Å, rel. 51; 40.3 deg, 2.237 Å, rel. 100; 40.7 deg, 2.217 Å, rel. 48; 45.4 deg, 1.999 Å, rel. 74; 50.1 deg, 1.822 Å, rel. 22; 65.9 deg, 1.417 Å, rel. 11; 69.5 deg, 1.353 Å, rel. 16; 70.2 deg, 1.341 Å, rel. 14; 80.1 deg, 1.198 Å, rel. 24; 80.4 deg, 1.194 Å, rel. 13

---

No. 3
Starting from DFT lattice parameters and positions (GGA-PBE), the powder diffractogram of Pr2SmNi2B2N3 was computed for λ = 1.5418 Å (Cu Kα).
Peak positions follow from Bragg's law for the DFT cell and can differ from measured ones.

Atomic structure:
```
data_Pr2SmNi2B2N3
_space_group_name_H-M_alt 'I 4/m m m'
_space_group_IT_number 139
_space_group_name_Hall '-I 4 2'
_cell_length_a 3.6305
_cell_length_b 3.6305
_cell_length_c 20.2710
_cell_angle_alpha 90.00
_cell_angle_beta 90.00
_cell_angle_gamma 90.00
loop_
_atom_site_label
_atom_site_fract_x
_atom_site_fract_y
_atom_site_fract_z
Pr1 0.0000 0.0000 0.1257
Sm1 0.0000 0.0000 0.5000
Ni1 0.0000 0.5000 0.2500
B1 0.0000 0.0000 0.3073
N1 0.0000 0.0000 0.0000
N2 0.0000 0.0000 0.3788
```

The 10 most intense peaks (2θ from 10° to 90°), by angle:
27.9 deg, 3.198 Å, rel. 100; 33.1 deg, 2.705 Å, rel. 74; 35.0 deg, 2.567 Å, rel. 39; 35.4 deg, 2.534 Å, rel. 50; 36.1 deg, 2.489 Å, rel. 43; 39.3 deg, 2.290 Å, rel. 33; 44.3 deg, 2.044 Å, rel. 29; 50.3 deg, 1.815 Å, rel. 40; 58.5 deg, 1.579 Å, rel. 27; 63.0 deg, 1.476 Å, rel. 36

---

No. 4
Starting from DFT lattice parameters and positions (GGA-PBE), the powder diffractogram of LiIn2AgSe4 was computed for λ = 1.5418 Å (Cu Kα).
Peak positions follow from Bragg's law for the DFT cell and can differ from measured ones.

Atomic structure:
```
data_LiIn2AgSe4
_space_group_name_H-M_alt 'I -4'
_space_group_IT_number 82
_cell_length_a 6.1022
_cell_length_b 6.1022
_cell_length_c 11.9846
_cell_angle_alpha 90.00
_cell_angle_beta 90.00
_cell_angle_gamma 90.00
loop_
_space_group_symop_operation_xyz
'x,y,z'
'y,-x,-z'
'-x,-y,z'
'-y,x,-z'
'x+1/2,y+1/2,z+1/2'
'y+1/2,-x+1/2,-z+1/2'
'-x+1/2,-y+1/2,z+1/2'
'-y+1/2,x+1/2,-z+1/2'
loop_
_atom_site_label
_atom_site_fract_x
_atom_site_fract_y
_atom_site_fract_z
Li1 0.0000 0.0000 0.0000
In1 0.0000 0.0000 0.5000
In2 0.0000 0.5000 0.2500
Ag1 0.0000 0.5000 0.7500
Se1 0.2431 0.2483 0.1215
```

The 10 most intense peaks (2θ from 10° to 90°), by angle:
16.3 deg, 5.438 Å, rel. 14; 25.4 deg, 3.502 Å, rel. 100; 41.9 deg, 2.157 Å, rel. 26; 42.3 deg, 2.138 Å, rel. 50; 49.6 deg, 1.837 Å, rel. 31; 50.3 deg, 1.813 Å, rel. 15; 60.7 deg, 1.526 Å, rel. 8; 67.5 deg, 1.388 Å, rel. 13; 76.8 deg, 1.242 Å, rel. 17; 77.6 deg, 1.231 Å, rel. 8

---

No. 5
Starting from DFT lattice parameters and positions (GGA-PBE), the powder diffractogram of Na2Tm2B2TeO10 was computed for λ = 1.5418 Å (Cu Kα).
Peak positions follow from Bragg's law for the DFT cell and can differ from measured ones.

Atomic structure:
```
data_Na2Tm2B2TeO10
_space_group_name_H-M_alt 'P 1 21/c 1'
_space_group_IT_number 14
_cell_length_a 6.2396
_cell_length_b 9.8159
_cell_length_c 6.6474
_cell_angle_alpha 90.00
_cell_angle_beta 103.76
_cell_angle_gamma 90.00
loop_
_space_group_symop_operation_xyz
'x,y,z'
'-x,-y,-z'
'-x,y+1/2,-z+1/2'
'x,-y+1/2,z+1/2'
loop_
_atom_site_label
_atom_site_fract_x
_atom_site_fract_y
_atom_site_fract_z
Na1 0.0828 0.1105 0.1678
Tm1 0.3735 0.6665 0.9773
B1 0.1613 0.1007 0.6257
Te1 0.5000 0.0000 0.0000
O1 0.0230 0.6736 0.9525
O2 0.2046 0.0642 0.8378
O3 0.3036 0.0606 0.5084
O4 0.3327 0.6172 0.6362
O5 0.4930 0.1531 0.1794
```

The 10 most intense peaks (2θ from 10° to 90°), by angle:
14.6 deg, 6.061 Å, rel. 100; 17.2 deg, 5.157 Å, rel. 42; 27.6 deg, 3.228 Å, rel. 41; 28.1 deg, 3.180 Å, rel. 27; 30.6 deg, 2.919 Å, rel. 64; 30.9 deg, 2.896 Å, rel. 39; 32.6 deg, 2.748 Å, rel. 38; 34.8 deg, 2.581 Å, rel. 23; 47.6 deg, 1.909 Å, rel. 17; 50.8 deg, 1.798 Å, rel. 21

---

No. 6
Starting from DFT lattice parameters and positions (GGA-PBE), the powder diffractogram of CoTe8 was computed for λ = 1.5418 Å (Cu Kα).
Peak positions follow from Bragg's law for the DFT cell and can differ from measured ones.

Atomic structure:
```
data_CoTe8
_space_group_name_H-M_alt 'P -6 2 m'
_space_group_IT_number 189
_space_group_name_Hall 'P -6 -2'
_cell_length_a 9.0057
_cell_length_b 9.0057
_cell_length_c 3.7354
_cell_angle_alpha 90.00
_cell_angle_beta 90.00
_cell_angle_gamma 120.00
loop_
_atom_site_label
_atom_site_fract_x
_atom_site_fract_y
_atom_site_fract_z
Co1 0.0000 0.0000 0.0000
Te1 0.0000 0.1941 0.5000
Te2 0.0000 0.5342 0.0000
Te3 0.3333 0.6667 0.5000
```

The 10 most intense peaks (2θ from 10° to 90°), by angle:
22.8 deg, 3.900 Å, rel. 18; 30.3 deg, 2.948 Å, rel. 83; 31.1 deg, 2.875 Å, rel. 53; 33.2 deg, 2.697 Å, rel. 100; 38.9 deg, 2.314 Å, rel. 29; 40.0 deg, 2.251 Å, rel. 24; 48.6 deg, 1.872 Å, rel. 28; 48.8 deg, 1.868 Å, rel. 17; 58.5 deg, 1.578 Å, rel. 26; 59.7 deg, 1.549 Å, rel. 25

---

No. 7
Starting from DFT lattice parameters and positions (GGA-PBE), the powder diffractogram of Rb2IrO4 was computed for λ = 1.5418 Å (Cu Kα).
Peak positions follow from Bragg's law for the DFT cell and can differ from measured ones.

Atomic structure:
```
data_Rb2IrO4
_space_group_name_H-M_alt 'I 41/a m d'
_space_group_IT_number 141
_cell_length_a 7.2548
_cell_length_b 7.2548
_cell_length_c 10.3084
_cell_angle_alpha 90.00
_cell_angle_beta 90.00
_cell_angle_gamma 90.00
loop_
_space_group_symop_operation_xyz
'x,y,z'
'-x,-y,-z'
'-y+1/4,x+3/4,z+1/4'
'y+1/4,-x+3/4,-z+1/4'
'-x+1/2,-y,z+1/2'
'x+1/2,y,-z+1/2'
'y+1/4,-x+1/4,z+3/4'
'-y+1/4,x+1/4,-z+3/4'
'x,-y,-z'
'-x,y,z'
'-y+1/4,-x+1/4,-z+3/4'
'y+1/4,x+1/4,z+3/4'
'-x+1/2,y,-z+1/2'
'x+1/2,-y,z+1/2'
'y+1/4,x+3/4,-z+1/4'
'-y+1/4,-x+3/4,z+1/4'
'x+1/2,y+1/2,z+1/2'
'-x+1/2,-y+1/2,-z+1/2'
'-y+3/4,x+1/4,z+3/4'
'y+3/4,-x+1/4,-z+3/4'
'-x,-y+1/2,z'
'x,y+1/2,-z'
'y+3/4,-x+3/4,z+1/4'
'-y+3/4,x+3/4,-z+1/4'
'x+1/2,-y+1/2,-z+1/2'
'-x+1/2,y+1/2,z+1/2'
'-y+3/4,-x+3/4,-z+1/4'
'y+3/4,x+3/4,z+1/4'
'-x,y+1/2,-z'
'x,-y+1/2,z'
'y+3/4,x+1/4,-z+3/4'
'-y+3/4,-x+1/4,z+3/4'
loop_
_atom_site_label
_atom_site_fract_x
_atom_site_fract_y
_atom_site_fract_z
Rb1 0.0000 0.0000 0.0000
Ir1 0.0000 0.2500 0.3750
O1 0.0000 0.0456 0.2704
```

The 10 most intense peaks (2θ from 10° to 90°), by angle:
14.9 deg, 5.933 Å, rel. 17; 24.5 deg, 3.633 Å, rel. 82; 28.7 deg, 3.105 Å, rel. 50; 28.8 deg, 3.095 Å, rel. 100; 43.2 deg, 2.096 Å, rel. 23; 45.9 deg, 1.976 Å, rel. 38; 50.2 deg, 1.818 Å, rel. 34; 50.3 deg, 1.814 Å, rel. 17; 68.4 deg, 1.372 Å, rel. 13; 70.5 deg, 1.336 Å, rel. 21